No. 1
# Fe4As4H4O19
Computed X-ray powder pattern, Cu Kα (weighted mean of Kα1 and Kα2). Input: a crystal structure in the Materials Project, relaxed with GGA+U.

Cell and atoms:
```
data_Fe4As4H4O19
_chemical_formula_sum 'Fe4 As4 H4 O19'
_cell_length_a 6.685
_cell_length_b 6.689
_cell_length_c 9.205
_cell_angle_alpha 75.56
_cell_angle_beta 85.01
_cell_angle_gamma 75.25
_symmetry_space_group_name_H-M 'P 1'
_symmetry_Int_Tables_number 1
_symmetry_space_group_name_Hall 'P 1'
loop_
_atom_site_label
_atom_site_type_symbol
_atom_site_fract_x
_atom_site_fract_y
_atom_site_fract_z
Fe1 Fe 0.000 0.000 0.000
Fe2 Fe 0.081 0.181 0.288
Fe3 Fe 0.660 0.527 0.332
Fe4 Fe 0.741 0.709 0.618
As1 As 0.118 0.647 0.367
As2 As 0.623 0.062 0.253
As3 As 0.860 0.550 0.993
As4 As 0.879 0.158 0.626
H1 H 0.308 0.876 0.600
H2 H 0.370 0.644 0.714
H3 H 0.372 0.078 0.931
H4 H 0.427 0.831 0.018
O1 O 0.007 0.289 0.062
O2 O 0.024 0.715 0.971
O3 O 0.033 0.661 0.545
O4 O 0.076 0.897 0.242
O5 O 0.094 0.096 0.510
O6 O 0.318 0.949 0.964
O7 O 0.367 0.174 0.249
O8 O 0.374 0.534 0.368
O9 O 0.385 0.363 0.843
O10 O 0.424 0.760 0.649
O11 O 0.647 0.611 0.110
O12 O 0.665 0.812 0.377
O13 O 0.707 0.047 0.074
O14 O 0.717 0.993 0.647
O15 O 0.734 0.419 0.556
O16 O 0.753 0.213 0.322
O17 O 0.765 0.558 0.826
O18 O 0.971 0.151 0.794
O19 O 0.989 0.495 0.297
```

The 10 most intense peaks (10 to 80 degrees two-theta), sorted by position:
2θ (°)  I (rel.)
13.70  100
23.97  26
27.12  16
27.68  51
28.40  29
29.64  35
30.09  44
32.36  15
33.91  20
34.64  16

No. 2
# BaCaMo4O8
Computed X-ray powder pattern, Cu Kα (weighted mean of Kα1 and Kα2). Input: a crystal structure in the Materials Project, relaxed with GGA+U.

Cell and atoms:
```
data_BaCaMo4O8
_chemical_formula_sum 'Ba1 Ca1 Mo4 O8'
_cell_length_a 5.8404
_cell_length_b 5.8404
_cell_length_c 7.5799
_cell_angle_alpha 90.00
_cell_angle_beta 90.00
_cell_angle_gamma 120.00
_symmetry_space_group_name_H-M 'P -3 1 m'
_symmetry_Int_Tables_number 162
_symmetry_space_group_name_Hall '-P 3 2'
loop_
_atom_site_label
_atom_site_type_symbol
_atom_site_fract_x
_atom_site_fract_y
_atom_site_fract_z
Ba1 Ba 0.0000 0.0000 0.0000
Ca1 Ca 0.0000 0.0000 0.5000
Mo1 Mo 0.3333 0.6667 0.2698
O1 O 0.0000 0.3048 0.2990
O2 O 0.3333 0.6667 0.0000
```

The 10 most intense peaks (10 to 80 degrees two-theta), sorted by position:
2θ (°)  I (rel.)
21.12  13
23.47  15
29.45  83
30.61  100
43.00  33
53.70  33
54.42  28
58.02  29
71.75  12
75.47  15

No. 3
# K3NpMo2O10
Computed X-ray powder pattern, Cu Kα (weighted mean of Kα1 and Kα2). Input: a crystal structure in the Materials Project, relaxed with GGA+U.

Cell and atoms:
```
data_K3NpMo2O10
_chemical_formula_sum 'K6 Np2 Mo4 O20'
_cell_length_a 7.494
_cell_length_b 8.075
_cell_length_c 10.459
_cell_angle_alpha 91.98
_cell_angle_beta 94.27
_cell_angle_gamma 109.09
_symmetry_space_group_name_H-M 'P -1'
_symmetry_Int_Tables_number 2
_symmetry_space_group_name_Hall '-P 1'
loop_
_atom_site_label
_atom_site_type_symbol
_atom_site_fract_x
_atom_site_fract_y
_atom_site_fract_z
K1 K 0.212 0.337 0.234
K2 K 0.266 0.618 0.593
K3 K 0.281 0.114 0.928
Np1 Np 0.145 0.796 0.260
Mo1 Mo 0.250 0.609 0.936
Mo2 Mo 0.303 0.129 0.575
O1 O 0.087 0.382 0.919
O2 O 0.101 0.589 0.345
O3 O 0.163 0.186 0.693
O4 O 0.163 0.754 0.844
O5 O 0.175 0.925 0.485
O6 O 0.176 0.998 0.171
O7 O 0.316 0.693 0.103
O8 O 0.367 0.302 0.468
O9 O 0.462 0.613 0.869
O10 O 0.485 0.890 0.343
```

The 10 most intense peaks (10 to 80 degrees two-theta), sorted by position:
2θ (°)  I (rel.)
13.98  100
16.62  28
24.05  19
25.25  26
25.40  22
27.43  26
27.60  34
28.20  40
28.62  33
29.73  47

No. 4
# K2W2O5
Computed X-ray powder pattern, Cu Kα (weighted mean of Kα1 and Kα2). Input: a crystal structure in the Materials Project, relaxed with GGA+U.

Cell and atoms:
```
data_K2W2O5
_chemical_formula_sum 'K4 W4 O10'
_cell_length_a 5.823
_cell_length_b 5.832
_cell_length_c 8.983
_cell_angle_alpha 108.86
_cell_angle_beta 108.67
_cell_angle_gamma 90.38
_symmetry_space_group_name_H-M 'P 1'
_symmetry_Int_Tables_number 1
_symmetry_space_group_name_Hall 'P 1'
loop_
_atom_site_label
_atom_site_type_symbol
_atom_site_fract_x
_atom_site_fract_y
_atom_site_fract_z
K1 K 0.000 0.000 0.000
K2 K 0.229 0.247 0.488
K3 K 0.485 0.503 0.999
K4 K 0.741 0.742 0.487
W1 W 0.108 0.623 0.243
W2 W 0.387 0.883 0.744
W3 W 0.609 0.123 0.245
W4 W 0.879 0.365 0.743
O1 O 0.083 0.114 0.739
O2 O 0.086 0.621 0.744
O3 O 0.265 0.755 0.504
O4 O 0.339 0.383 0.233
O5 O 0.356 0.869 0.234
O6 O 0.509 0.988 0.982
O7 O 0.706 0.256 0.504
O8 O 0.862 0.376 0.252
O9 O 0.879 0.863 0.254
O10 O 0.948 0.492 0.982
```

The 10 most intense peaks (10 to 80 degrees two-theta), sorted by position:
2θ (°)  I (rel.)
21.49  65
21.64  64
22.25  54
30.68  100
31.13  90
31.23  89
43.79  27
54.74  27
54.90  27
55.76  28

No. 5
# Li3Mn2NiO6
Computed X-ray powder pattern, Cu Kα (weighted mean of Kα1 and Kα2). Input: a crystal structure in the Materials Project, relaxed with GGA+U.

Cell and atoms:
```
data_Li3Mn2NiO6
_chemical_formula_sum 'Li6 Mn4 Ni2 O12'
_cell_length_a 12.720
_cell_length_b 2.998
_cell_length_c 5.981
_cell_angle_alpha 90.00
_cell_angle_beta 103.86
_cell_angle_gamma 90.00
_symmetry_space_group_name_H-M 'C 1 2/m 1'
_symmetry_Int_Tables_number 12
_symmetry_space_group_name_Hall '-C 2y'
loop_
_atom_site_label
_atom_site_type_symbol
_atom_site_fract_x
_atom_site_fract_y
_atom_site_fract_z
Li1 Li 0.000 0.000 0.000
Li2 Li 0.164 0.500 0.335
Mn1 Mn 0.165 0.500 0.828
Ni1 Ni 0.000 0.000 0.500
O1 O 0.011 0.500 0.750
O2 O 0.168 0.000 0.605
O3 O 0.175 0.000 0.070
```

The 10 most intense peaks (10 to 80 degrees two-theta), sorted by position:
2θ (°)  I (rel.)
18.29  100
35.24  30
36.07  13
37.09  14
42.71  55
44.00  24
56.51  10
62.87  14
63.10  14
79.01  10

No. 6
# VTeO3
Computed X-ray powder pattern, Cu Kα (weighted mean of Kα1 and Kα2). Input: a crystal structure in the Materials Project, relaxed with GGA+U.

Cell and atoms:
```
data_VTeO3
_chemical_formula_sum 'V1 Te1 O3'
_cell_length_a 3.929
_cell_length_b 3.929
_cell_length_c 3.929
_cell_angle_alpha 90.00
_cell_angle_beta 90.00
_cell_angle_gamma 90.00
_symmetry_space_group_name_H-M 'P m -3 m'
_symmetry_Int_Tables_number 221
_symmetry_space_group_name_Hall '-P 4 2 3'
loop_
_atom_site_label
_atom_site_type_symbol
_atom_site_fract_x
_atom_site_fract_y
_atom_site_fract_z
V1 V 0.000 0.000 0.000
Te1 Te 0.500 0.500 0.500
O1 O 0.000 0.000 0.500
```

The 9 most intense peaks (10 to 80 degrees two-theta), sorted by position:
2θ (°)  I (rel.)
22.63  15
32.22  100
39.74  23
46.22  35
52.05  8
57.46  38
67.42  20
72.13  4
76.71  16

No. 7
# RbFeF4
Computed X-ray powder pattern, Cu Kα (weighted mean of Kα1 and Kα2). Input: a crystal structure in the Materials Project, relaxed with GGA+U.

Cell and atoms:
```
data_RbFeF4
_chemical_formula_sum 'Rb2 Fe2 F8'
_cell_length_a 5.457
_cell_length_b 5.457
_cell_length_c 6.582
_cell_angle_alpha 90.00
_cell_angle_beta 90.00
_cell_angle_gamma 90.00
_symmetry_space_group_name_H-M 'P 4/m b m'
_symmetry_Int_Tables_number 127
_symmetry_space_group_name_Hall '-P 4 2ab'
loop_
_atom_site_label
_atom_site_type_symbol
_atom_site_fract_x
_atom_site_fract_y
_atom_site_fract_z
Rb1 Rb 0.000 0.500 0.000
Fe1 Fe 0.000 0.000 0.500
F1 F 0.000 0.000 0.209
F2 F 0.189 0.311 0.500
```

The 10 most intense peaks (10 to 80 degrees two-theta), sorted by position:
2θ (°)  I (rel.)
26.78  100
27.10  33
32.82  43
35.62  12
35.86  12
47.10  25
47.69  32
55.01  33
55.19  13
69.27  23